(1)
Computed X-ray diffraction stick pattern
Compound: Pr2W2O9
Radiation: a wavelength of 1.5418 Å
Structure: the PBE+U geometry in Alexandria
Peak positions follow from Bragg's law for the DFT cell and can differ from measured ones.

Most intense lines, 2θ from 10° to 90°, sorted by position:
d 3.412, rel. 100, hkl 1 0 2; d 3.348, rel. 83, hkl 1 2 -2; d 3.237, rel. 71, hkl 2 1 -2; d 3.061, rel. 53, hkl 1 3 0; d 2.996, rel. 56, hkl 2 2 0; d 2.686, rel. 18, hkl 0 3 2; d 2.519, rel. 18, hkl 0 4 0; d 2.413, rel. 24, hkl 3 1 0; d 2.046, rel. 20, hkl 0 2 4; d 2.026, rel. 25, hkl 1 4 2; d 2.013, rel. 34, hkl 2 3 2; d 1.565, rel. 21, hkl 3 5 0

Structural model:
```
data_Pr2W2O9
_space_group_name_H-M_alt 'P 1 21/c 1'
_space_group_IT_number 14
_cell_length_a 7.823
_cell_length_b 10.069
_cell_length_c 9.397
_cell_angle_alpha 90.00
_cell_angle_beta 107.59
_cell_angle_gamma 90.00
loop_
_space_group_symop_operation_xyz
'x,y,z'
'-x,-y,-z'
'-x,y+1/2,-z+1/2'
'x,-y+1/2,z+1/2'
loop_
_atom_site_label
_atom_site_fract_x
_atom_site_fract_y
_atom_site_fract_z
Pr1 0.213 0.052 0.425
Pr2 0.273 0.054 0.849
W1 0.081 0.732 0.467
W2 0.429 0.749 0.761
O1 0.003 0.600 0.326
O2 0.052 0.104 0.609
O3 0.087 0.209 0.930
O4 0.236 0.635 0.138
O5 0.246 0.686 0.861
O6 0.276 0.624 0.582
O7 0.399 0.218 0.339
O8 0.442 0.094 0.655
O9 0.493 0.119 0.098
```



(2)
Computed X-ray diffraction stick pattern
Compound: PrW2O8
Radiation: a wavelength of 1.5418 Å
Structure: the PBE+U geometry in Alexandria
Peak positions follow from Bragg's law for the DFT cell and can differ from measured ones.

Most intense lines, 2θ from 10° to 90°, sorted by position:
d 6.199, rel. 57, hkl 1 0 -1; d 6.066, rel. 48, hkl 0 1 -1; d 5.183, rel. 91, hkl 1 1 -1; d 4.170, rel. 100, hkl 1 1 0; d 3.752, rel. 43, hkl 1 1 -2; d 3.720, rel. 67, hkl 0 1 1; d 3.295, rel. 74, hkl 1 -2 0; d 3.242, rel. 83, hkl 2 0 0; d 3.100, rel. 62, hkl 2 0 -2; d 3.033, rel. 68, hkl 0 2 -2; d 2.684, rel. 51, hkl -1 1 2; d 2.594, rel. 61, hkl 2 2 -2

Structural model:
```
data_PrW2O8
_space_group_name_H-M_alt 'P -1'
_space_group_IT_number 2
_cell_length_a 7.432
_cell_length_b 7.468
_cell_length_c 7.603
_cell_angle_alpha 113.51
_cell_angle_beta 116.13
_cell_angle_gamma 91.18
loop_
_space_group_symop_operation_xyz
'x,y,z'
'-x,-y,-z'
loop_
_atom_site_label
_atom_site_fract_x
_atom_site_fract_y
_atom_site_fract_z
Pr1 0.172 0.286 0.449
W1 0.276 0.298 0.034
W2 0.350 0.896 0.711
O1 0.078 0.330 0.115
O2 0.145 0.999 0.810
O3 0.168 0.648 0.554
O4 0.200 0.362 0.806
O5 0.288 0.000 0.523
O6 0.402 0.182 0.274
O7 0.479 0.532 0.254
O8 0.484 0.837 0.003
```



(3)
Computed X-ray diffraction stick pattern
Compound: PrWO4
Radiation: a wavelength of 1.5418 Å
Structure: the PBE+U geometry in Alexandria
Peak positions follow from Bragg's law for the DFT cell and can differ from measured ones.

Most intense lines, 2θ from 10° to 90°, sorted by position:
d 3.805, rel. 100, hkl 2 0 0; d 2.904, rel. 84, hkl 1 1 2; d 2.691, rel. 28, hkl 2 2 0; d 1.974, rel. 66, hkl 3 1 2; d 1.903, rel. 17, hkl 4 0 0; d 1.702, rel. 17, hkl 4 2 0; d 1.591, rel. 19, hkl 3 3 2; d 1.571, rel. 15, hkl 2 0 4; d 1.452, rel. 12, hkl 2 2 4; d 1.370, rel. 17, hkl 5 1 2; d 1.221, rel. 13, hkl 5 3 2; d 1.211, rel. 13, hkl 4 2 4

Structural model:
```
data_PrWO4
_space_group_name_H-M_alt 'I 41/a m d'
_space_group_IT_number 141
_cell_length_a 7.610
_cell_length_b 7.610
_cell_length_c 6.897
_cell_angle_alpha 90.00
_cell_angle_beta 90.00
_cell_angle_gamma 90.00
loop_
_space_group_symop_operation_xyz
'x,y,z'
'-x,-y,-z'
'-y+1/4,x+3/4,z+1/4'
'y+1/4,-x+3/4,-z+1/4'
'-x+1/2,-y,z+1/2'
'x+1/2,y,-z+1/2'
'y+1/4,-x+1/4,z+3/4'
'-y+1/4,x+1/4,-z+3/4'
'x,-y,-z'
'-x,y,z'
'-y+1/4,-x+1/4,-z+3/4'
'y+1/4,x+1/4,z+3/4'
'-x+1/2,y,-z+1/2'
'x+1/2,-y,z+1/2'
'y+1/4,x+3/4,-z+1/4'
'-y+1/4,-x+3/4,z+1/4'
'x+1/2,y+1/2,z+1/2'
'-x+1/2,-y+1/2,-z+1/2'
'-y+3/4,x+1/4,z+3/4'
'y+3/4,-x+1/4,-z+3/4'
'-x,-y+1/2,z'
'x,y+1/2,-z'
'y+3/4,-x+3/4,z+1/4'
'-y+3/4,x+3/4,-z+1/4'
'x+1/2,-y+1/2,-z+1/2'
'-x+1/2,y+1/2,z+1/2'
'-y+3/4,-x+3/4,-z+1/4'
'y+3/4,x+3/4,z+1/4'
'-x,y+1/2,-z'
'x,-y+1/2,z'
'y+3/4,x+1/4,-z+3/4'
'-y+3/4,-x+1/4,z+3/4'
loop_
_atom_site_label
_atom_site_fract_x
_atom_site_fract_y
_atom_site_fract_z
Pr1 0.000 0.250 0.375
W1 0.000 0.250 0.875
O1 0.000 0.063 0.695
```



(4)
Computed X-ray diffraction stick pattern
Compound: PrW4O12
Radiation: a wavelength of 1.5418 Å
Structure: the PBE+U geometry in Alexandria
Peak positions follow from Bragg's law for the DFT cell and can differ from measured ones.

Most intense lines, 2θ from 10° to 90°, sorted by position:
d 5.562, rel. 20, hkl 1 1 0; d 3.933, rel. 81, hkl 0 0 2; d 2.781, rel. 100, hkl 2 0 2; d 2.271, rel. 9, hkl 2 2 2; d 1.970, rel. 11, hkl 0 0 4; d 1.965, rel. 21, hkl 0 4 0; d 1.760, rel. 17, hkl 0 4 2; d 1.757, rel. 17, hkl 4 2 0; d 1.606, rel. 41, hkl 4 2 2; d 1.391, rel. 13, hkl 0 4 4; d 1.311, rel. 14, hkl 4 4 2; d 1.243, rel. 12, hkl 0 6 2

Structural model:
```
data_PrW4O12
_space_group_name_H-M_alt 'I m m m'
_space_group_IT_number 71
_space_group_name_Hall '-I 2 2'
_cell_length_a 7.856
_cell_length_b 7.862
_cell_length_c 7.880
_cell_angle_alpha 90.00
_cell_angle_beta 90.00
_cell_angle_gamma 90.00
loop_
_atom_site_label
_atom_site_fract_x
_atom_site_fract_y
_atom_site_fract_z
Pr1 0.000 0.000 0.000
W1 0.250 0.250 0.250
O1 0.000 0.243 0.245
O2 0.237 0.000 0.245
O3 0.238 0.238 0.000
```



(5)
Computed X-ray diffraction stick pattern
Compound: PrZnW2O6
Radiation: a wavelength of 1.5418 Å
Structure: the PBE+U geometry in Alexandria
Peak positions follow from Bragg's law for the DFT cell and can differ from measured ones.

Most intense lines, 2θ from 10° to 90°, sorted by position:
d 4.030, rel. 16, hkl 1 1 -1; d 2.938, rel. 21, hkl 0 2 0; d 2.879, rel. 100, hkl 1 1 1; d 2.769, rel. 23, hkl 2 0 -2; d 2.595, rel. 6, hkl 1 2 -1; d 2.058, rel. 13, hkl 0 0 4; d 2.015, rel. 18, hkl 2 2 -2; d 1.846, rel. 7, hkl 1 3 -1; d 1.685, rel. 21, hkl 0 2 4; d 1.621, rel. 11, hkl 3 1 -1; d 1.617, rel. 11, hkl 3 1 -5; d 1.297, rel. 6, hkl 1 1 -7

Structural model:
```
data_PrZnW2O6
_space_group_name_H-M_alt 'P 1 c 1'
_space_group_IT_number 7
_cell_length_a 5.538
_cell_length_b 5.875
_cell_length_c 9.901
_cell_angle_alpha 90.00
_cell_angle_beta 123.77
_cell_angle_gamma 90.00
loop_
_space_group_symop_operation_xyz
'x,y,z'
'x,-y,z+1/2'
loop_
_atom_site_label
_atom_site_fract_x
_atom_site_fract_y
_atom_site_fract_z
Pr1 0.000 0.199 0.000
Zn1 0.498 0.136 0.496
W1 0.221 0.268 0.745
W2 0.727 0.261 0.251
O1 0.099 0.042 0.306
O2 0.352 0.445 0.195
O3 0.454 0.057 0.681
O4 0.579 0.242 0.995
O5 0.848 0.215 0.502
O6 0.983 0.440 0.810
```